The following is a calculated powder diffractogram of Li5Fe4O8. It was derived from a PBE+U-relaxed structure, using Cu Kα.
No peak broadening, texture or thermal motion is included.

Structure:
Lattice parameters (Å, degrees): 6.0353 10.3920 9.9185 90.00 90.33 90.00
Space group Cc (No. 9)
Inequivalent atoms, fractional coordinates:
Li (0.0000, 0.0014, 0.0000) [4 per cell]
Li (0.0087, 0.1965, 0.0694) [4 per cell]
Li (0.2097, 0.4025, 0.0690) [4 per cell]
Li (0.2983, 0.0987, 0.5657) [4 per cell]
Li (0.4984, 0.1662, 0.7859) [4 per cell]
Fe (0.9998, 0.1675, 0.7992) [4 per cell]
Fe (0.2438, 0.4139, 0.7980) [4 per cell]
Fe (0.2533, 0.0848, 0.3001) [4 per cell]
Fe (0.4958, 0.1694, 0.0410) [4 per cell]
O (0.0110, 0.4882, 0.6695) [4 per cell]
O (0.0118, 0.3280, 0.9189) [4 per cell]
O (0.2368, 0.2517, 0.6753) [4 per cell]
O (0.2439, 0.0898, 0.9278) [4 per cell]
O (0.2512, 0.4152, 0.4192) [4 per cell]
O (0.2687, 0.2496, 0.1765) [4 per cell]
O (0.4853, 0.4950, 0.1889) [4 per cell]
O (0.4938, 0.3358, 0.9235) [4 per cell]

Most intense lines, 10 to 90 degrees two-theta, sorted by position:
| (hkl) | 2theta | d_spacing | I (rel.) |
| --- | --- | --- | --- |
| 0 0 2 | 17.89 | 4.959 | 72 |
| 1 1 -1 | 19.21 | 4.620 | 100 |
| 0 2 1 | 19.28 | 4.603 | 43 |
| 2 0 2 | 34.91 | 2.570 | 67 |
| 2 2 1 | 35.58 | 2.524 | 61 |
| 0 4 2 | 39.12 | 2.303 | 39 |
| 2 2 -3 | 44.11 | 2.053 | 53 |
| 2 2 3 | 44.34 | 2.043 | 100 |
| 2 2 4 | 50.92 | 1.793 | 33 |
| 2 6 0 | 61.76 | 1.502 | 49 |



The following is a calculated powder diffractogram of Li2Fe3O4. It was derived from a PBE+U-relaxed structure, using Cu Kα.
No peak broadening, texture or thermal motion is included.

Structure:
Lattice parameters (Å, degrees): 6.2521 6.5268 8.6617 90.00 90.00 90.00
Space group Imma (No. 74)
Inequivalent atoms, fractional coordinates:
Li (0.0000, 0.0000, 0.0000) [4 per cell]
Li (0.0000, 0.2500, 0.0884) [4 per cell]
Fe (0.0000, 0.0000, 0.5000) [4 per cell]
Fe (0.2500, 0.2500, 0.2500) [4 per cell]
Fe (0.2500, 0.2500, 0.7500) [4 per cell]
O (0.0000, 0.0215, 0.2374) [8 per cell]
O (0.2382, 0.2500, 0.5094) [8 per cell]

Most intense lines, 10 to 90 degrees two-theta, sorted by position:
| (hkl) | 2theta | d_spacing | I (rel.) |
| --- | --- | --- | --- |
| 1 0 1 | 17.49 | 5.069 | 36 |
| 0 0 2 | 20.51 | 4.331 | 13 |
| 1 2 1 | 32.63 | 2.744 | 18 |
| 0 2 2 | 34.41 | 2.606 | 35 |
| 2 0 2 | 35.41 | 2.535 | 35 |
| 2 2 0 | 39.94 | 2.257 | 100 |
| 0 0 4 | 41.71 | 2.165 | 44 |
| 0 4 0 | 56.39 | 1.632 | 17 |
| 4 0 0 | 59.12 | 1.563 | 71 |
| 0 4 4 | 72.54 | 1.303 | 13 |



The following is a calculated powder diffractogram of Li6Fe3O8. It was derived from a PBE+U-relaxed structure, using Cu Kα.
No peak broadening, texture or thermal motion is included.

Structure:
Lattice parameters (Å, degrees): 5.9221 6.0057 10.4182 75.08 73.99 60.75
Space group P1 (No. 1)
Inequivalent atoms, fractional coordinates:
Li (0.0000, 0.0000, 0.0000) [1 per cell]
Li (0.0031, 0.4967, 0.9988) [1 per cell]
Li (0.0229, 0.4696, 0.4971) [1 per cell]
Li (0.2247, 0.7005, 0.3506) [1 per cell]
Li (0.2818, 0.7819, 0.1488) [1 per cell]
Li (0.4810, 0.0152, 0.0029) [1 per cell]
Li (0.5018, 0.9860, 0.5015) [1 per cell]
Li (0.5052, 0.4830, 0.5003) [1 per cell]
Li (0.5261, 0.4942, 0.9925) [1 per cell]
Li (0.7243, 0.1946, 0.8489) [1 per cell]
Li (0.7821, 0.2874, 0.6507) [1 per cell]
Li (0.9780, 0.9876, 0.5075) [1 per cell]
Fe (0.2528, 0.2412, 0.2502) [1 per cell]
Fe (0.2529, 0.2410, 0.7502) [1 per cell]
Fe (0.2530, 0.7410, 0.7501) [1 per cell]
Fe (0.7528, 0.2411, 0.2502) [1 per cell]
Fe (0.7532, 0.7412, 0.2501) [1 per cell]
Fe (0.7529, 0.7411, 0.7502) [1 per cell]
O (0.1006, 0.6105, 0.1421) [1 per cell]
O (0.1154, 0.1328, 0.1326) [1 per cell]
O (0.1249, 0.6141, 0.6272) [1 per cell]
O (0.1410, 0.1028, 0.6372) [1 per cell]
O (0.3651, 0.3790, 0.8633) [1 per cell]
O (0.3809, 0.8680, 0.8732) [1 per cell]
O (0.3903, 0.3494, 0.3678) [1 per cell]
O (0.4055, 0.8716, 0.3582) [1 per cell]
O (0.6099, 0.6366, 0.6334) [1 per cell]
O (0.6169, 0.1038, 0.6376) [1 per cell]
O (0.6216, 0.1257, 0.1273) [1 per cell]
O (0.6415, 0.6093, 0.1404) [1 per cell]
O (0.8644, 0.8728, 0.3601) [1 per cell]
O (0.8841, 0.3565, 0.3732) [1 per cell]
O (0.8889, 0.3782, 0.8629) [1 per cell]
O (0.8961, 0.8454, 0.8669) [1 per cell]

Most intense lines, 10 to 90 degrees two-theta, sorted by position:
| (hkl) | 2theta | d_spacing | I (rel.) |
| --- | --- | --- | --- |
| 0 0 2 | 17.91 | 4.953 | 100 |
| 1 0 1 | 18.13 | 4.893 | 30 |
| 0 2 0 | 34.61 | 2.592 | 17 |
| 2 0 0 | 35.30 | 2.542 | 14 |
| 2 2 2 | 35.55 | 2.525 | 14 |
| 0 2 -2 | 41.63 | 2.170 | 35 |
| 2 0 -2 | 42.77 | 2.114 | 32 |
| 2 2 4 | 43.20 | 2.094 | 32 |
| 2 -2 0 | 61.52 | 1.507 | 10 |
| 2 4 2 | 61.83 | 1.500 | 10 |



The following is a calculated powder diffractogram of Li3Fe7O12. It was derived from a PBE+U-relaxed structure, using Cu Kα.
No peak broadening, texture or thermal motion is included.

Structure:
Lattice parameters (Å, degrees): 5.0765 9.0768 9.8522 90.00 101.27 90.00
Space group C2 (No. 5)
Inequivalent atoms, fractional coordinates:
Li (0.0000, 0.0000, 0.0000) [2 per cell]
Li (0.2452, 0.8380, 0.2392) [4 per cell]
Fe (0.0000, 0.1658, 0.5000) [2 per cell]
Fe (0.0000, 0.3449, 0.0000) [2 per cell]
Fe (0.0000, 0.5017, 0.5000) [2 per cell]
Fe (0.0000, 0.6620, 0.0000) [2 per cell]
Fe (0.0000, 0.8372, 0.5000) [2 per cell]
Fe (0.2414, 0.1636, 0.2374) [4 per cell]
O (0.1156, 0.1848, 0.8777) [4 per cell]
O (0.1156, 0.6749, 0.3850) [4 per cell]
O (0.1211, 0.3173, 0.3888) [4 per cell]
O (0.1292, 0.8155, 0.8784) [4 per cell]
O (0.1371, 0.5077, 0.8832) [4 per cell]
O (0.1451, 0.0097, 0.3904) [4 per cell]

Most intense lines, 10 to 90 degrees two-theta, sorted by position:
| (hkl) | 2theta | d_spacing | I (rel.) |
| --- | --- | --- | --- |
| 0 0 2 | 18.36 | 4.831 | 50 |
| 0 2 0 | 19.56 | 4.538 | 28 |
| 1 1 -1 | 20.85 | 4.261 | 17 |
| 1 1 1 | 23.76 | 3.745 | 39 |
| 1 3 1 | 36.89 | 2.437 | 23 |
| 2 0 -2 | 37.24 | 2.414 | 22 |
| 1 3 -3 | 42.56 | 2.124 | 100 |
| 2 0 2 | 44.06 | 2.055 | 47 |
| 0 6 0 | 61.27 | 1.513 | 14 |
| 3 3 -1 | 62.92 | 1.477 | 51 |



The following is a calculated powder diffractogram of Li21Fe4O16. It was derived from a PBE+U-relaxed structure, using Cu Kα.
No peak broadening, texture or thermal motion is included.

Structure:
Lattice parameters (Å, degrees): 9.0612 9.4512 9.4958 90.00 90.14 90.00
Space group C2 (No. 5)
Inequivalent atoms, fractional coordinates:
Li (0.0000, 0.0004, 0.0000) [2 per cell]
Li (0.0000, 0.4484, 0.5000) [2 per cell]
Li (0.0000, 0.9933, 0.5000) [2 per cell]
Li (0.0038, 0.5000, 0.2389) [4 per cell]
Li (0.2057, 0.7273, 0.2454) [4 per cell]
Li (0.2072, 0.7346, 0.7372) [4 per cell]
Li (0.2107, 0.2318, 0.0099) [4 per cell]
Li (0.2171, 0.2298, 0.5081) [4 per cell]
Li (0.2216, 0.4795, 0.0274) [4 per cell]
Li (0.2232, 0.9787, 0.7210) [4 per cell]
Li (0.2231, 0.9817, 0.2224) [4 per cell]
Li (0.2468, 0.4807, 0.5286) [4 per cell]
Fe (0.0002, 0.2218, 0.2485) [4 per cell]
Fe (0.0000, 0.7237, 0.0000) [2 per cell]
Fe (0.0000, 0.7242, 0.5000) [2 per cell]
O (0.1294, 0.1088, 0.3622) [4 per cell]
O (0.1286, 0.3552, 0.6530) [4 per cell]
O (0.1300, 0.6102, 0.8858) [4 per cell]
O (0.1329, 0.1104, 0.8638) [4 per cell]
O (0.1326, 0.5903, 0.3849) [4 per cell]
O (0.1359, 0.3488, 0.1602) [4 per cell]
O (0.1381, 0.8510, 0.0884) [4 per cell]
O (0.1433, 0.8556, 0.5893) [4 per cell]

Most intense lines, 10 to 90 degrees two-theta, sorted by position:
| (hkl) | 2theta | d_spacing | I (rel.) |
| --- | --- | --- | --- |
| 0 2 0 | 18.78 | 4.726 | 28 |
| 2 0 0 | 19.59 | 4.531 | 13 |
| 1 1 -2 | 23.15 | 3.842 | 100 |
| 2 2 0 | 27.27 | 3.270 | 23 |
| 2 2 -2 | 33.27 | 2.693 | 37 |
| 1 3 -2 | 35.61 | 2.521 | 19 |
| 3 1 2 | 36.52 | 2.460 | 21 |
| 3 3 -2 | 45.79 | 1.981 | 23 |
| 0 4 4 | 54.82 | 1.675 | 16 |
| 4 4 0 | 56.24 | 1.636 | 23 |



The following is a calculated powder diffractogram of Li5Fe5O12. It was derived from a PBE+U-relaxed structure, using Cu Kα.
No peak broadening, texture or thermal motion is included.

Structure:
Lattice parameters (Å, degrees): 5.1209 5.1218 10.3625 90.95 90.57 119.35
Space group P1 (No. 1)
Inequivalent atoms, fractional coordinates:
Li (0.0000, 0.0000, 0.0000) [1 per cell]
Li (0.1509, 0.6606, 0.7506) [1 per cell]
Li (0.3389, 0.8513, 0.2487) [1 per cell]
Li (0.6533, 0.1608, 0.7496) [1 per cell]
Li (0.8452, 0.3444, 0.2494) [1 per cell]
Fe (0.1654, 0.8365, 0.5001) [1 per cell]
Fe (0.3361, 0.6642, 0.9996) [1 per cell]
Fe (0.5056, 0.4963, 0.4994) [1 per cell]
Fe (0.6649, 0.3355, 0.0000) [1 per cell]
Fe (0.8350, 0.1672, 0.4998) [1 per cell]
O (0.0217, 0.6418, 0.1068) [1 per cell]
O (0.1668, 0.5217, 0.3948) [1 per cell]
O (0.1742, 0.1611, 0.5959) [1 per cell]
O (0.3591, 0.9781, 0.8930) [1 per cell]
O (0.3677, 0.3684, 0.0959) [1 per cell]
O (0.4795, 0.8363, 0.6047) [1 per cell]
O (0.5119, 0.1655, 0.3898) [1 per cell]
O (0.6328, 0.6311, 0.9036) [1 per cell]
O (0.6423, 0.0229, 0.1069) [1 per cell]
O (0.8357, 0.4911, 0.6097) [1 per cell]
O (0.8426, 0.8274, 0.4036) [1 per cell]
O (0.9780, 0.3580, 0.8924) [1 per cell]

Most intense lines, 10 to 90 degrees two-theta, sorted by position:
| (hkl) | 2theta | d_spacing | I (rel.) |
| --- | --- | --- | --- |
| 0 0 2 | 17.12 | 5.179 | 100 |
| 1 1 0 | 34.68 | 2.586 | 11 |
| -2 1 1 | 36.03 | 2.493 | 12 |
| -1 2 1 | 36.25 | 2.478 | 13 |
| 1 1 2 | 39.38 | 2.288 | 12 |
| 1 -2 3 | 43.67 | 2.073 | 8 |
| -2 1 3 | 43.82 | 2.066 | 8 |
| 2 -1 3 | 44.25 | 2.047 | 9 |
| -1 2 3 | 44.39 | 2.041 | 8 |
| 0 3 -1 | 62.92 | 1.477 | 8 |



The following is a calculated powder diffractogram of LiFePO4. It was derived from a PBE+U-relaxed structure, using Cu Kα.
No peak broadening, texture or thermal motion is included.

Structure:
Lattice parameters (Å, degrees): 7.9187 8.3700 5.3445 90.00 90.00 90.00
Space group Pna2_1 (No. 33)
Inequivalent atoms, fractional coordinates:
Li (0.0206, 0.2058, 0.0000) [4 per cell]
Fe (0.1788, 0.5603, 0.1347) [4 per cell]
P (0.2462, 0.4348, 0.6624) [4 per cell]
O (0.0612, 0.4211, 0.7751) [4 per cell]
O (0.1449, 0.9507, 0.4052) [4 per cell]
O (0.2083, 0.7898, 0.0017) [4 per cell]
O (0.2370, 0.0895, 0.0027) [4 per cell]

Most intense lines, 10 to 90 degrees two-theta, sorted by position:
| (hkl) | 2theta | d_spacing | I (rel.) |
| --- | --- | --- | --- |
| 1 1 0 | 15.40 | 5.752 | 38 |
| 0 1 1 | 19.71 | 4.505 | 65 |
| 0 2 0 | 21.23 | 4.185 | 87 |
| 2 0 0 | 22.46 | 3.959 | 100 |
| 2 0 1 | 28.05 | 3.181 | 27 |
| 1 2 1 | 29.36 | 3.042 | 21 |
| 2 1 1 | 30.05 | 2.974 | 21 |
| 0 3 1 | 36.32 | 2.473 | 56 |
| 2 0 2 | 40.74 | 2.215 | 23 |
| 3 1 2 | 49.76 | 1.832 | 26 |